SrCoIrO6: theoretical PXRD pattern (Cu Kα (λ = 1.5418 Å)), based on a structure optimized by DFT (GGA+U).

Crystal structure
Cell lengths 5.1017, 5.1017, 5.3817 Å; angles 90.00, 90.00, 120.00 degrees
Positions (direct):
Sr: 0.0000 0.0000 0.0000
Co: 0.3333 0.6667 0.5000
Ir: 0.6667 0.3333 0.5000
O: 0.0053 0.3835 0.6962
O: 0.0053 0.6219 0.3038
O: 0.3781 0.3835 0.3038
O: 0.3781 0.9947 0.6962
O: 0.6165 0.6219 0.6962
O: 0.6165 0.9947 0.3038

The 10 most intense peaks (2θ = 10–80°), sorted by position:
two_theta  I/Imax  (hkl)
16.47  329  0 0 1
20.10  219  1 0 0
26.09  1000  1 0 1
35.18  330  1 1 0
39.08  156  2 -1 1
44.32  214  2 0 1
49.22  412  2 -1 2
55.27  113  1 0 3
57.81  217  3 -1 1
63.13  110  3 0 0